Theoretical PXRD pattern
Compound: Sm4I3NCl2
Radiation: a wavelength of 1.5418 Å
Structure: a cell relaxed with GGA-PBE
No peak broadening, texture or thermal motion is included.

Peak list (12 most intense, 10 to 80 degrees two-theta, by angle)
| 2θ/deg | Rel. int. | index |
| --- | --- | --- |
| 10.48 | 74.4 | 0 0 1 |
| 23.90 | 19.0 | 4 0 1 |
| 28.19 | 17.2 | 3 1 -1 |
| 29.57 | 41.6 | 6 0 0 |
| 30.16 | 18.1 | 3 1 1 |
| 30.97 | 100.0 | 1 1 -2 |
| 33.23 | 17.4 | 6 0 -2 |
| 33.71 | 20.7 | 5 1 0 |
| 33.99 | 30.2 | 5 1 -1 |
| 42.51 | 22.6 | 5 1 2 |
| 44.17 | 21.4 | 7 1 -2 |
| 46.45 | 19.3 | 0 2 0 |

Crystal structure
```
data_Sm4I3NCl2
_chemical_formula_sum 'Sm8 I6 N2 Cl4'
_cell_length_a 18.4280
_cell_length_b 3.9098
_cell_length_c 8.5777
_cell_angle_alpha 90.00
_cell_angle_beta 100.35
_cell_angle_gamma 90.00
_space_group_name_H-M_alt 'C 1 2/m 1'
_space_group_IT_number 12
_space_group_name_Hall '-C 2y'
loop_
_atom_site_label
_atom_site_type_symbol
_atom_site_fract_x
_atom_site_fract_y
_atom_site_fract_z
Sm1 Sm 0.0021 0.0000 0.3081
Sm2 Sm 0.1327 0.5000 0.5629
I1 I 0.0000 0.5000 0.0000
I2 I 0.1750 0.0000 0.3064
N1 N 0.0000 0.5000 0.5000
Cl1 Cl 0.1499 0.0000 0.8012
```